The following is a computed X-ray diffraction stick pattern of SrNd5Tl6. It was derived from a DFT-relaxed cell (GGA-PBE, Alexandria), using Cu Kα (weighted mean of Kα1 and Kα2).
Peak positions follow from Bragg's law for the DFT cell and can differ from measured ones.

Principal peaks in the range 10° ≤ 2θ ≤ 80°, by angle:
Position (°2θ)  d/Å  intensity
32.14  2.785  100
32.20  2.780  100
46.10  1.969  25
46.21  1.964  12
57.25  1.609  26
57.39  1.606  45
67.34  1.391  20
76.44  1.246  11
76.56  1.244  11
76.68  1.243  11

Structure:
Cell: 9.654 9.654 5.560 Å, 106.71 106.71 120.23°
Positions (direct):
Sr 0.000 0.000 0.000
Nd 0.161 0.839 0.500
Nd 0.330 0.670 0.000
Nd 0.500 0.500 0.500
Nd 0.670 0.330 0.000
Nd 0.839 0.161 0.500
Tl 0.086 0.424 0.255
Tl 0.260 0.260 0.760
Tl 0.424 0.086 0.255
Tl 0.576 0.914 0.745
Tl 0.740 0.740 0.240
Tl 0.914 0.576 0.745